[1]
Structure and theoretical PXRD pattern of Na8B11C5 (a structure optimized by DFT (GGA-PBE); copper Kα).
Kinematic intensities with the Lorentz-polarization factor, no thermal factor.

Crystal structure
```
24
Lattice="8.699 -2.505 0.000 8.699 2.505 0.000 -0.961 0.000 5.705" Properties=species:S:1:pos:R:3 pbc="T T T"
Na 1.648 0.018 3.209
Na 2.095 0.000 0.353
Na 5.875 0.012 3.923
Na 6.364 0.008 1.072
Na 10.074 0.008 4.633
Na 10.562 0.012 1.782
Na 14.789 0.018 2.496
Na 14.342 0.000 5.352
B 3.997 0.867 2.142
B 8.699 0.911 0.000
B 8.219 0.827 2.852
B 3.493 -0.792 5.054
B 3.998 -0.895 2.050
B 12.440 0.867 3.563
B 8.699 -0.798 0.000
B 8.442 -1.716 1.494
B 7.995 -1.716 4.210
B 12.944 -0.792 0.651
B 12.439 -0.895 3.654
C 3.504 0.845 5.023
C 8.448 1.684 1.455
C 7.989 1.684 4.250
C 12.933 0.845 0.682
C 8.219 -0.825 2.852
```

Main lines, by angle (2θ = 10–80°):
| d (Å) | 2θ (°) | I/Imax |
| --- | --- | --- |
| 4.289 | 20.71 | 1.1 |
| 2.505 | 35.85 | 18.3 |
| 2.163 | 41.76 | 100.0 |
| 2.145 | 42.14 | 25.4 |
| 1.629 | 56.49 | 10.2 |
| 1.446 | 64.43 | 17.2 |
| 1.370 | 68.47 | 1.7 |
| 1.252 | 75.98 | 1.8 |
| 1.242 | 76.76 | 12.6 |
| 1.202 | 79.77 | 11.0 |


[2]
Structure and theoretical PXRD pattern of Pu2MgSnAu6 (a structure optimized by DFT (GGA-PBE); copper Kα).
Kinematic intensities with the Lorentz-polarization factor, no thermal factor.

Crystal structure
```
10
Lattice="5.564 0.000 0.000 -2.752 6.285 0.000 -2.766 -1.260 6.351" Properties=species:S:1:pos:R:3 pbc="T T T"
Pu 0.009 1.237 1.464
Pu 0.038 3.788 4.887
Mg -2.759 2.513 3.175
Sn 2.782 0.000 0.000
Au -1.374 0.363 4.217
Au -2.744 2.347 5.838
Au -1.336 4.644 2.136
Au 1.383 0.381 4.215
Au 2.790 2.678 0.513
Au 1.421 4.662 2.134
```

Main lines, by angle (2θ = 10–80°):
| d (Å) | 2θ (°) | I/Imax |
| --- | --- | --- |
| 3.077 | 29.02 | 47.3 |
| 2.829 | 31.62 | 54.9 |
| 2.623 | 34.19 | 60.2 |
| 2.583 | 34.73 | 58.2 |
| 2.548 | 35.22 | 70.8 |
| 2.465 | 36.46 | 64.6 |
| 2.423 | 37.11 | 100.0 |
| 2.348 | 38.34 | 68.4 |
| 2.297 | 39.21 | 75.8 |
| 2.287 | 39.41 | 75.9 |


[3]
Structure and theoretical PXRD pattern of Er7Bi2Pb2 (a structure optimized by DFT (GGA-PBE); copper Kα).
Kinematic intensities with the Lorentz-polarization factor, no thermal factor.

Crystal structure
```
11
Lattice="4.470 -5.467 0.000 4.470 5.467 0.000 0.000 0.000 7.324" Properties=species:S:1:pos:R:3 pbc="T T T"
Er 0.000 0.000 0.000
Er 2.235 2.733 2.043
Er 2.235 2.733 5.281
Er 2.235 -2.733 2.043
Er 2.235 -2.733 5.281
Er 4.470 0.000 1.983
Er 4.470 0.000 5.342
Bi 4.470 2.396 0.000
Bi 4.470 -2.396 0.000
Pb 1.644 0.000 3.662
Pb 7.297 0.000 3.662
```

Main lines, by angle (2θ = 10–80°):
| d (Å) | 2θ (°) | I/Imax |
| --- | --- | --- |
| 4.381 | 20.27 | 29.4 |
| 3.816 | 23.31 | 61.9 |
| 3.237 | 27.56 | 31.1 |
| 2.733 | 32.76 | 53.1 |
| 2.515 | 35.70 | 100.0 |
| 2.482 | 36.19 | 36.2 |
| 2.235 | 40.35 | 20.5 |
| 2.222 | 40.60 | 22.8 |
| 2.200 | 41.02 | 22.8 |
| 1.730 | 52.92 | 16.0 |